# K2TaF7
Computed XRD peak list, Cu Kα (λ = 1.5418 Å). Input: a cell relaxed with PBE.
No peak broadening, texture or thermal motion is included.

Principal peaks in the range 10° ≤ 2θ ≤ 80°, low angle first:
d/Å  I (rel.)  hkl
5.100  53  1 1 0
4.894  100  0 2 1
4.325  62  1 1 1
4.084  36  0 0 2
3.299  73  1 3 0
3.187  55  1 1 2
3.058  52  0 4 0
2.806  17  2 0 0
2.014  24  0 1 4
1.977  20  0 6 1

Cell and atoms:
a = 5.6114 Å, b = 12.2256 Å, c = 8.1682 Å
α = 90.00°, β = 90.15°, γ = 90.00°
Sites, in units of the cell vectors:
K: 0.2369 0.2206 0.0562
K: 0.2369 0.2794 0.5562
K: 0.2391 0.5606 0.1801
K: 0.2391 0.9394 0.6801
K: 0.7609 0.0606 0.3199
K: 0.7609 0.4394 0.8199
K: 0.7631 0.7206 0.4438
K: 0.7631 0.7794 0.9438
Ta: 0.2719 0.6240 0.7195
Ta: 0.2719 0.8760 0.2195
Ta: 0.7281 0.1240 0.7805
Ta: 0.7281 0.3760 0.2805
F: 0.0339 0.6047 0.8954
F: 0.0339 0.8953 0.3954
F: 0.0404 0.7461 0.6956
F: 0.0404 0.7539 0.1956
F: 0.1671 0.6111 0.4936
F: 0.1671 0.8889 0.9936
F: 0.2221 0.0345 0.2237
F: 0.2221 0.4655 0.7237
F: 0.4288 0.0722 0.8821
F: 0.4288 0.4278 0.3821
F: 0.4698 0.7424 0.2012
F: 0.4698 0.7576 0.7012
F: 0.4765 0.6078 0.9151
F: 0.4765 0.8922 0.4151
F: 0.5235 0.1078 0.5849
F: 0.5235 0.3922 0.0849
F: 0.5302 0.2424 0.2988
F: 0.5302 0.2576 0.7988
F: 0.5712 0.5722 0.6179
F: 0.5712 0.9278 0.1179
F: 0.7779 0.5345 0.2763
F: 0.7779 0.9655 0.7763
F: 0.8329 0.1111 0.0064
F: 0.8329 0.3889 0.5064
F: 0.9596 0.2461 0.8044
F: 0.9596 0.2539 0.3044
F: 0.9661 0.1047 0.6046
F: 0.9661 0.3953 0.1046


# YTmFe2B2N2
Computed XRD peak list, Cu Kα (λ = 1.5418 Å). Input: a cell relaxed with PBE.
No peak broadening, texture or thermal motion is included.

Principal peaks in the range 10° ≤ 2θ ≤ 80°, low angle first:
d/Å  I (rel.)  hkl
7.690  18  0 0 1
3.129  73  1 0 1
2.560  100  0 0 3
2.422  17  1 1 0
2.310  63  1 1 1
2.050  46  1 1 2
1.713  29  2 0 0
1.506  19  1 1 4
1.503  18  2 1 1
1.424  45  2 0 3

Cell and atoms:
a = 3.4258 Å, b = 3.4258 Å, c = 7.6896 Å
α = 90.00°, β = 90.00°, γ = 90.00°
Sites, in units of the cell vectors:
Y: 0.0000 0.0000 0.0000
Tm: 0.5000 0.5000 0.6711
Fe: 0.0000 0.5000 0.3358
Fe: 0.5000 0.0000 0.3358
B: 0.0000 0.0000 0.5006
B: 0.5000 0.5000 0.1691
N: 0.0000 0.0000 0.6941
N: 0.5000 0.5000 0.9746


# RbAuSe2
Computed XRD peak list, Cu Kα (λ = 1.5418 Å). Input: a cell relaxed with PBE.
No peak broadening, texture or thermal motion is included.

Principal peaks in the range 10° ≤ 2θ ≤ 80°, low angle first:
d/Å  I (rel.)  hkl
6.175  56  1 1 0
4.800  27  1 1 -1
3.770  23  0 2 1
3.081  100  2 2 -1
2.929  22  1 3 -1
2.702  24  2 0 -2
2.412  43  2 2 1
2.229  22  1 3 -2
1.838  23  1 5 1
1.714  18  0 2 3

Cell and atoms:
a = 8.1540 Å, b = 10.4578 Å, c = 5.7984 Å
α = 90.00°, β = 110.22°, γ = 90.00°
Sites, in units of the cell vectors:
Rb: 0.0000 0.1353 0.2500
Rb: 0.0000 0.8647 0.7500
Rb: 0.5000 0.3647 0.7500
Rb: 0.5000 0.6353 0.2500
Au: 0.0000 0.4323 0.7500
Au: 0.0000 0.5677 0.2500
Au: 0.5000 0.0677 0.2500
Au: 0.5000 0.9323 0.7500
Se: 0.2427 0.3537 0.1036
Se: 0.2427 0.6463 0.6036
Se: 0.2573 0.1463 0.8964
Se: 0.2573 0.8537 0.3964
Se: 0.7427 0.1463 0.6036
Se: 0.7427 0.8537 0.1036
Se: 0.7573 0.3537 0.3964
Se: 0.7573 0.6463 0.8964